1.
Theoretical powder XRD pattern of Li5HoPb6 for Cu Ka, from a structure optimized by DFT (GGA-PBE).
Peak positions follow from Bragg's law for the DFT cell and can differ from measured ones.

Principal peaks in the range 15° ≤ 2θ ≤ 90°, sorted by position:
index  2θ (°)  d_spacing  I/Imax
1 0 1  23.8  3.735  461
1 0 -2  24.9  3.578  448
0 2 0  25.0  3.555  428
0 0 3  34.6  2.593  351
2 0 -1  34.8  2.575  1000
1 2 -2  35.6  2.522  664
0 2 3  43.2  2.095  201
2 2 -1  43.4  2.086  190
2 0 -4  51.0  1.790  157
3 2 -3  63.4  1.466  241

Structure:
Cell lengths 5.1552, 7.1105, 8.0961 Å; angles 90.00, 106.09, 90.00 degrees
Space group P2/m (No. 10)
Unique sites:
Li  0.0000  0.0000  0.0000 [1 per cell]
Li  0.2896  0.0000  0.6613 [2 per cell]
Li  0.3202  0.5000  0.6788 [2 per cell]
Ho  0.0000  0.5000  0.0000 [1 per cell]
Pb  0.2011  0.2465  0.3475 [4 per cell]
Pb  0.5000  0.2291  0.0000 [2 per cell]

2.
Theoretical powder XRD pattern of Mg2Tl3Hg5 for Cu Ka, from a structure optimized by DFT (GGA-PBE).
Peak positions follow from Bragg's law for the DFT cell and can differ from measured ones.

Principal peaks in the range 15° ≤ 2θ ≤ 90°, sorted by position:
index  2θ (°)  d_spacing  I/Imax
2 1 1  28.0  3.185  400
2 2 1  31.1  2.874  268
4 1 0  32.0  2.798  552
3 3 0  32.9  2.720  136
3 1 1  33.0  2.710  1000
4 2 0  34.8  2.580  211
3 2 1  35.8  2.511  251
0 0 2  44.8  2.024  203
4 1 2  56.1  1.640  231
7 1 1  61.2  1.514  188

Structure:
Cell lengths 11.5379, 11.5379, 4.0489 Å; angles 90.00, 90.00, 90.00 degrees
Space group P4/mbm (No. 127)
Unique sites:
Mg  0.1274  0.3726  0.0000 [4 per cell]
Tl  0.0000  0.0000  0.0000 [2 per cell]
Tl  0.1742  0.6742  0.0000 [4 per cell]
Hg  0.0000  0.5000  0.5000 [2 per cell]
Hg  0.0654  0.2016  0.5000 [8 per cell]

3.
Theoretical powder XRD pattern of BaPtCl for Cu Ka, from a structure optimized by DFT (GGA-PBE).
Peak positions follow from Bragg's law for the DFT cell and can differ from measured ones.

Principal peaks in the range 15° ≤ 2θ ≤ 90°, sorted by position:
index  2θ (°)  d_spacing  I/Imax
1 0 0  21.4  4.147  277
1 0 1  30.8  2.899  1000
1 1 0  37.6  2.394  483
0 0 2  44.7  2.027  98
2 0 1  49.4  1.846  271
1 1 2  59.8  1.547  247
2 1 1  63.7  1.462  255
3 0 0  67.8  1.382  85
3 0 2  84.9  1.142  94
3 1 1  88.3  1.106  109

Structure:
Cell lengths 4.7882, 4.7882, 4.0545 Å; angles 90.00, 90.00, 120.00 degrees
Space group P-6m2 (No. 187)
Unique sites:
Ba  0.0000  0.0000  0.0000 [1 per cell]
Pt  0.3333  0.6667  0.5000 [1 per cell]
Cl  0.6667  0.3333  0.5000 [1 per cell]

4.
Theoretical powder XRD pattern of SmThTePt for Cu Ka, from a structure optimized by DFT (GGA-PBE).
Peak positions follow from Bragg's law for the DFT cell and can differ from measured ones.

Principal peaks in the range 15° ≤ 2θ ≤ 90°, sorted by position:
index  2θ (°)  d_spacing  I/Imax
0 1 2  25.6  3.480  393
0 1 5  31.2  2.864  1000
1 0 7  36.7  2.448  323
1 1 0  42.9  2.107  496
1 0 10  46.5  1.952  218
2 0 5  54.0  1.697  217
0 2 7  57.7  1.597  118
1 1 12  65.7  1.421  160
1 2 5  71.4  1.322  191
0 1 17  74.5  1.273  148

Structure:
Cell lengths 4.2139, 4.2139, 23.1034 Å; angles 90.00, 90.00, 120.00 degrees
Space group R3m (No. 160, hexagonal axes)
Unique sites:
Sm  0.0000  0.0000  0.0000 [3 per cell]
Th  0.0000  0.0000  0.1927 [3 per cell]
Te  0.0000  0.0000  0.7625 [3 per cell]
Pt  0.0000  0.0000  0.5930 [3 per cell]

5.
Theoretical powder XRD pattern of La2Pm2Dy2Y for Cu Ka, from a structure optimized by DFT (GGA-PBE).
Peak positions follow from Bragg's law for the DFT cell and can differ from measured ones.

Principal peaks in the range 15° ≤ 2θ ≤ 90°, sorted by position:
index  2θ (°)  d_spacing  I/Imax
1 1 2  30.1  2.971  1000
0 2 0  34.8  2.575  338
4 0 1  34.9  2.570  168
4 2 1  50.1  1.820  301
5 1 3  59.6  1.552  358
7 1 0  59.7  1.550  71
2 2 4  62.5  1.487  62
6 2 -2  62.6  1.485  62
5 3 3  81.5  1.181  116
2 4 -3  84.0  1.152  68

Structure:
Cell lengths 11.4892, 5.1479, 8.1477 Å; angles 90.00, 98.11, 90.00 degrees
Space group C2/m (No. 12)
Unique sites:
La  0.1425  0.0000  0.4262 [4 per cell]
Pm  0.2149  0.5000  0.1400 [4 per cell]
Dy  0.0708  0.5000  0.7163 [4 per cell]
Y  0.0000  0.0000  0.0000 [2 per cell]

- Which formula does entry 3 have?
  BaPtCl